Record 1
Computed XRD peak list
Compound: YZr2Cd6
Radiation: CuKα
Structure: a crystal structure in Alexandria, relaxed with GGA-PBE

Principal peaks in the range 15 to 90 degrees two-theta, in order of rising 2θ:
hkl  2θ (°)  d/Å  I/Imax
1 1 3  35.1  2.559  89.7
3 0 0  36.4  2.469  100.0
3 0 3  46.5  1.954  18.4
2 2 3  51.4  1.777  29.1
4 1 3  64.6  1.442  28.4
3 0 6  70.2  1.341  25.7

Cell and atoms:
Unit cell a=8.5544 b=8.5544 c=9.5826 alpha=90.00 beta=90.00 gamma=120.00
Space group R-3m (No. 166, hexagonal axes)
One atom of each set of equivalent atoms:
Y: 0.0000 0.0000 0.0000 (multiplicity 3)
Zr: 0.0000 0.0000 0.3476 (multiplicity 6)
Cd: 0.0000 0.3333 0.1667 (multiplicity 18)

Record 2
Computed XRD peak list
Compound: Zn5Cd4
Radiation: CuKα
Structure: a crystal structure in Alexandria, relaxed with GGA-PBE

Principal peaks in the range 15 to 90 degrees two-theta, in order of rising 2θ:
hkl  2θ (°)  d/Å  I/Imax
2 1 1  30.9  2.898  5.9
3 0 1  37.0  2.431  100.0
0 0 2  43.0  2.105  48.3
3 3 2  62.4  1.489  29.1
3 0 3  74.8  1.269  32.6
6 0 2  78.7  1.215  9.3

Cell and atoms:
Unit cell a=8.9304 b=8.9304 c=4.2110 alpha=90.00 beta=90.00 gamma=90.00
Space group I4/mmm (No. 139)
One atom of each set of equivalent atoms:
Zn: 0.0000 0.0000 0.0000 (multiplicity 2)
Zn: 0.1580 0.1580 0.5000 (multiplicity 8)
Cd: 0.0000 0.3210 0.0000 (multiplicity 8)

Record 3
Computed XRD peak list
Compound: ZnCd2
Radiation: CuKα
Structure: a crystal structure in Alexandria, relaxed with GGA-PBE

Principal peaks in the range 15 to 90 degrees two-theta, in order of rising 2θ:
hkl  2θ (°)  d/Å  I/Imax
0 0 2  34.2  2.625  45.9
1 3 0  35.0  2.564  17.4
0 6 1  38.5  2.337  42.0
1 3 1  39.1  2.304  100.0
1 3 3  64.5  1.445  21.4
1 9 2  72.7  1.301  17.7

Cell and atoms:
Unit cell a=2.9439 b=15.6583 c=5.2497 alpha=90.00 beta=90.00 gamma=90.00
Space group Cmcm (No. 63)
One atom of each set of equivalent atoms:
Zn: 0.0000 0.1079 0.2500 (multiplicity 4)
Cd: 0.0000 0.2282 0.7500 (multiplicity 4)
Cd: 0.0000 0.4446 0.2500 (multiplicity 4)